SmDyYEr2: simulated powder diffraction line list (Cu Kα (weighted mean of Kα1 and Kα2)), based on DFT lattice parameters and positions (GGA-PBE).
Kinematic intensities with the Lorentz-polarization factor, no thermal factor.

Cell and atoms:
abc: 8.336 11.442 7.177
angles: 90.00 90.00 90.00
Space group Cmcm (No. 63)
Symmetry-distinct sites (fractional):
Sm: 0.000 0.220 0.250
Dy: 0.000 0.488 0.250
Y: 0.000 0.230 0.750
Er: 0.190 0.000 0.000

Most intense lines, 5° ≤ 2θ ≤ 70°, in order of falling intensity:
h k l, 2theta, d_spacing, I (rel.)
2 0 2, 32.9, 2.719, 100
2 4 2, 46.1, 1.971, 65
0 4 0, 31.3, 2.860, 63
1 3 2, 36.0, 2.494, 59
0 2 2, 29.4, 3.040, 52
0 2 0, 15.5, 5.721, 50
3 3 0, 40.2, 2.245, 49
1 1 2, 28.2, 3.167, 43
3 1 0, 33.2, 2.700, 42
2 2 0, 26.5, 3.369, 41

***

TlPtBr4: simulated powder diffraction line list (Cu Kα (weighted mean of Kα1 and Kα2)), based on DFT lattice parameters and positions (GGA-PBE).
Kinematic intensities with the Lorentz-polarization factor, no thermal factor.

Cell and atoms:
abc: 7.609 7.609 7.808
angles: 90.00 90.00 90.00
Space group I-4 (No. 82)
Symmetry-distinct sites (fractional):
Tl: 0.000 0.000 0.000
Pt: 0.000 0.500 0.750
Br: 0.194 0.246 0.737

Most intense lines, 5° ≤ 2θ ≤ 70°, in order of falling intensity:
h k l, 2theta, d_spacing, I (rel.)
1 0 1, 16.3, 5.449, 100
1 1 2, 28.2, 3.160, 42
2 1 1, 28.6, 3.119, 40
2 2 0, 33.3, 2.690, 37
3 1 2, 44.2, 2.048, 28
3 2 1, 44.5, 2.037, 25
2 0 2, 32.9, 2.725, 16
1 0 3, 36.5, 2.462, 15
1 4 1, 50.8, 1.796, 14
2 2 4, 58.4, 1.580, 14

***

PmHgCO4: simulated powder diffraction line list (Cu Kα (weighted mean of Kα1 and Kα2)), based on DFT lattice parameters and positions (GGA-PBE).
Kinematic intensities with the Lorentz-polarization factor, no thermal factor.

Cell and atoms:
abc: 18.458 4.930 5.690
angles: 90.00 104.78 90.00
Space group C2/m (No. 12)
Symmetry-distinct sites (fractional):
Pm: 0.218 0.000 0.211
Hg: 0.071 0.500 0.613
C: 0.182 0.000 0.674
O: 0.134 0.000 0.450
O: 0.174 0.232 0.816
O: 0.241 0.500 0.339

Most intense lines, 5° ≤ 2θ ≤ 70°, in order of falling intensity:
h k l, 2theta, d_spacing, I (rel.)
1 1 -1, 23.9, 3.724, 100
2 0 -1, 16.6, 5.330, 48
5 1 0, 30.9, 2.891, 34
1 1 0, 18.7, 4.752, 33
3 1 0, 23.4, 3.796, 29
2 0 -2, 31.5, 2.841, 27
3 1 2, 43.7, 2.073, 25
0 0 1, 16.1, 5.502, 24
0 2 0, 36.4, 2.465, 24
4 0 1, 28.8, 3.100, 22

***

BaPa2Co2N6: simulated powder diffraction line list (Cu Kα (weighted mean of Kα1 and Kα2)), based on DFT lattice parameters and positions (GGA-PBE).
Kinematic intensities with the Lorentz-polarization factor, no thermal factor.

Cell and atoms:
abc: 6.106 6.306 6.399
angles: 63.30 61.80 63.57
Space group P-1 (No. 2)
Symmetry-distinct sites (fractional):
Ba: 0.000 0.000 0.000
Pa: 0.062 0.321 0.312
Co: 0.458 0.691 0.313
N: 0.209 0.577 0.333
N: 0.222 0.341 0.908
N: 0.246 0.901 0.496

Most intense lines, 5° ≤ 2θ ≤ 70°, in order of falling intensity:
h k l, 2theta, d_spacing, I (rel.)
1 0 0, 17.2, 5.141, 100
1 1 -1, 32.4, 2.762, 91
1 -1 1, 31.6, 2.833, 62
1 2 1, 28.4, 3.142, 62
1 1 2, 28.0, 3.190, 54
0 1 -1, 26.8, 3.332, 36
2 1 2, 33.7, 2.662, 25
2 2 1, 34.4, 2.605, 23
2 0 0, 34.9, 2.571, 22
0 3 0, 50.9, 1.794, 18

***

MgIn: simulated powder diffraction line list (Cu Kα (weighted mean of Kα1 and Kα2)), based on DFT lattice parameters and positions (GGA-PBE).
Kinematic intensities with the Lorentz-polarization factor, no thermal factor.

Cell and atoms:
abc: 10.127 9.484 6.063
angles: 90.00 90.00 90.00
Space group Pbcm (No. 57)
Symmetry-distinct sites (fractional):
Mg: 0.118 0.250 0.000
Mg: 0.160 0.661 0.250
Mg: 0.359 0.050 0.250
In: 0.069 0.537 0.750
In: 0.346 0.098 0.750
In: 0.415 0.750 0.000

Most intense lines, 5° ≤ 2θ ≤ 70°, in order of falling intensity:
h k l, 2theta, d_spacing, I (rel.)
2 1 2, 35.8, 2.507, 100
2 3 0, 33.4, 2.682, 80
2 1 1, 24.8, 3.596, 68
0 2 2, 35.1, 2.554, 62
1 2 0, 20.7, 4.294, 49
0 2 1, 23.8, 3.735, 30
1 4 2, 49.6, 1.836, 27
4 0 0, 35.5, 2.532, 19
5 1 1, 48.3, 1.883, 18
3 1 1, 31.8, 2.816, 18

***

Pr12Ho2Er: simulated powder diffraction line list (Cu Kα (weighted mean of Kα1 and Kα2)), based on DFT lattice parameters and positions (GGA-PBE).
Kinematic intensities with the Lorentz-polarization factor, no thermal factor.

Cell and atoms:
abc: 7.250 11.724 25.172
angles: 90.00 90.00 90.00
Space group Cmme (No. 67)
Symmetry-distinct sites (fractional):
Pr: 0.000 0.002 0.073
Pr: 0.000 0.025 0.560
Pr: 0.230 0.250 0.415
Pr: 0.248 0.250 0.870
Pr: 0.250 0.000 0.198
Pr: 0.250 0.000 0.324
Ho: 0.000 0.250 0.267
Ho: 0.000 0.250 0.729
Er: 0.000 0.250 0.999

Most intense lines, 5° ≤ 2θ ≤ 70°, in order of falling intensity:
h k l, 2theta, d_spacing, I (rel.)
0 2 8, 32.3, 2.771, 100
0 4 0, 30.5, 2.931, 66
2 2 2, 29.8, 2.995, 65
0 2 7, 29.1, 3.065, 45
2 2 6, 36.2, 2.484, 33
2 0 4, 28.4, 3.142, 28
0 6 8, 55.4, 1.660, 20
4 4 0, 60.0, 1.542, 20
2 2 3, 30.9, 2.894, 19
2 4 4, 42.2, 2.143, 19

***

AcCu11: simulated powder diffraction line list (Cu Kα (weighted mean of Kα1 and Kα2)), based on DFT lattice parameters and positions (GGA-PBE).
Kinematic intensities with the Lorentz-polarization factor, no thermal factor.

Cell and atoms:
abc: 10.182 10.182 6.683
angles: 90.00 90.00 90.00
Space group I4_1/amd (No. 141, origin choice 2)
Symmetry-distinct sites (fractional):
Ac: 0.000 0.250 0.375
Cu: 0.000 0.000 0.000
Cu: 0.000 0.250 0.875
Cu: 0.125 0.043 0.689

Most intense lines, 5° ≤ 2θ ≤ 70°, in order of falling intensity:
h k l, 2theta, d_spacing, I (rel.)
3 1 2, 38.8, 2.318, 100
4 2 0, 39.6, 2.277, 66
3 2 1, 34.5, 2.601, 40
1 1 2, 29.5, 3.030, 36
1 0 3, 41.5, 2.176, 31
4 2 2, 48.4, 1.882, 25
5 3 2, 59.8, 1.547, 24
2 1 1, 23.6, 3.763, 22
5 0 1, 46.6, 1.948, 22
4 0 2, 44.8, 2.025, 14